Structure and simulated powder diffraction line list of ZnBiNO (a GGA-PBE-relaxed structure; Cu Kα (weighted mean of Kα1 and Kα2)).
Intensities are scaled so that the largest is 100.

Largest 10 diffraction maxima, in order of rising 2θ, 2θ = 10–90°:
- 2θ = 24.93°, 3.572 Å, I = 89, (1 1 1)
- 2θ = 30.87°, 2.896 Å, I = 32, (2 0 0)
- 2θ = 31.03°, 2.882 Å, I = 100, (1 2 1)
- 2θ = 31.78°, 2.816 Å, I = 27, (0 3 0)
- 2θ = 33.31°, 2.690 Å, I = 41, (0 0 2)
- 2θ = 35.19°, 2.550 Å, I = 18, (2 0 1)
- 2θ = 44.90°, 2.019 Å, I = 16, (2 3 0)
- 2θ = 46.05°, 1.971 Å, I = 20, (2 0 2)
- 2θ = 46.70°, 1.945 Å, I = 19, (0 3 2)
- 2θ = 58.11°, 1.587 Å, I = 20, (1 2 3)

Cell and atoms:
```
ZnBiNO
1.0
5.7927 0.0000 0.0000
0.0000 8.4469 0.0000
0.0000 0.0000 5.3799
Zn Bi N O
4 4 4 4
Direct
0.0879 0.0775 0.0000 Zn
0.4121 0.0775 0.5000 Zn
0.5879 0.9225 0.0000 Zn
0.9121 0.9225 0.5000 Zn
0.0388 0.6740 0.0292 Bi
0.4612 0.6740 0.5292 Bi
0.5388 0.3260 0.0292 Bi
0.9612 0.3260 0.5292 Bi
0.0908 0.1055 0.6294 N
0.4092 0.1055 0.1294 N
0.5908 0.8945 0.6294 N
0.9092 0.8945 0.1294 N
0.1038 0.7186 0.6344 O
0.3962 0.7186 0.1344 O
0.6038 0.2814 0.6344 O
0.8962 0.2814 0.1344 O
```